Entry 1:
Computed powder X-ray diffraction pattern
Compound: TbGd3P4O16
Radiation: Cu Kα
Structure: a cell relaxed with GGA-PBE
No peak broadening, texture or thermal motion is included.

Cell and atoms:
Cell lengths 9.330, 7.031, 9.329 Å; angles 90.00, 97.81, 90.00 degrees
Space group Cm (No. 8)
Inequivalent atoms, fractional coordinates:
Tb (0.000, 0.000, 0.000)
Gd (0.000, 0.500, 0.500)
Gd (0.375, 0.000, 0.875)
Gd (0.375, 0.500, 0.375)
P (0.125, 0.000, 0.626)
P (0.125, 0.500, 0.124)
P (0.250, 0.000, 0.250)
P (0.251, 0.500, 0.750)
O (0.047, 0.173, 0.547)
O (0.047, 0.326, 0.046)
O (0.084, 0.000, 0.257)
O (0.085, 0.500, 0.758)
O (0.116, 0.000, 0.791)
O (0.117, 0.500, 0.290)
O (0.257, 0.000, 0.084)
O (0.258, 0.500, 0.585)
O (0.290, 0.000, 0.617)
O (0.291, 0.500, 0.116)
O (0.328, 0.173, 0.328)
O (0.330, 0.327, 0.830)

Top 8 peaks for 10 to 90 degrees two-theta, in order of rising 2θ:
| d/Å | Rel. int. |
| --- | --- |
| 4.621 | 56 |
| 3.516 | 100 |
| 2.798 | 25 |
| 2.610 | 67 |
| 2.486 | 21 |
| 2.189 | 21 |
| 1.858 | 21 |
| 1.800 | 53 |

Entry 2:
Computed powder X-ray diffraction pattern
Compound: TiAlO3
Radiation: Cu Kα
Structure: a cell relaxed with GGA-PBE
No peak broadening, texture or thermal motion is included.

Cell and atoms:
Cell lengths 5.494, 5.498, 12.002 Å; angles 90.00, 90.00, 119.87 degrees
Space group P1 (No. 1)
Inequivalent atoms, fractional coordinates:
Ti (0.000, 0.000, 0.000)
Ti (0.045, 0.334, 0.501)
Ti (0.337, 0.048, 0.501)
Ti (0.422, 0.711, 0.001)
Ti (0.711, 0.422, 0.000)
Ti (0.759, 0.757, 0.499)
Al (0.042, 0.712, 0.750)
Al (0.046, 0.715, 0.250)
Al (0.379, 0.378, 0.751)
Al (0.380, 0.379, 0.251)
Al (0.714, 0.042, 0.750)
Al (0.715, 0.046, 0.250)
O (0.038, 0.038, 0.173)
O (0.042, 0.041, 0.828)
O (0.043, 0.372, 0.675)
O (0.048, 0.374, 0.325)
O (0.051, 0.680, 0.499)
O (0.079, 0.710, 0.999)
O (0.344, 0.344, 0.002)
O (0.374, 0.044, 0.675)
O (0.375, 0.049, 0.325)
O (0.384, 0.709, 0.825)
O (0.385, 0.714, 0.175)
O (0.414, 0.415, 0.503)
O (0.679, 0.045, 0.499)
O (0.710, 0.078, 0.999)
O (0.710, 0.384, 0.826)
O (0.714, 0.384, 0.175)
O (0.717, 0.715, 0.328)
O (0.721, 0.719, 0.673)

Top 8 peaks for 10 to 90 degrees two-theta, in order of rising 2θ:
| d/Å | Rel. int. |
| --- | --- |
| 6.001 | 15 |
| 3.000 | 57 |
| 2.680 | 100 |
| 2.500 | 18 |
| 1.808 | 33 |
| 1.618 | 18 |
| 1.589 | 25 |
| 1.404 | 13 |

Entry 3:
Computed powder X-ray diffraction pattern
Compound: Al3Ni9C
Radiation: Cu Kα
Structure: a cell relaxed with GGA-PBE
No peak broadening, texture or thermal motion is included.

Cell and atoms:
Cell lengths 3.695, 3.695, 10.543 Å; angles 90.00, 90.00, 90.00 degrees
Space group P4/mmm (No. 123)
Inequivalent atoms, fractional coordinates:
Al (0.000, 0.000, 0.000)
Al (0.000, 0.000, 0.314)
Ni (0.000, 0.500, 0.160)
Ni (0.000, 0.500, 0.500)
Ni (0.500, 0.500, 0.000)
Ni (0.500, 0.500, 0.324)
C (0.500, 0.500, 0.500)

Top 8 peaks for 10 to 90 degrees two-theta, in order of rising 2θ:
| d/Å | Rel. int. |
| --- | --- |
| 3.695 | 9 |
| 2.547 | 5 |
| 2.097 | 100 |
| 1.848 | 36 |
| 1.757 | 14 |
| 1.306 | 10 |
| 1.273 | 17 |
| 1.109 | 23 |

Entry 4:
Computed powder X-ray diffraction pattern
Compound: NaEuYSbO6
Radiation: Cu Kα
Structure: a cell relaxed with GGA-PBE
No peak broadening, texture or thermal motion is included.

Cell and atoms:
Cell lengths 8.354, 8.354, 8.354 Å; angles 90.00, 90.00, 90.00 degrees
Space group F-43m (No. 216)
Inequivalent atoms, fractional coordinates:
Na (0.000, 0.000, 0.000)
Eu (0.000, 0.000, 0.500)
Y (0.250, 0.250, 0.750)
Sb (0.250, 0.250, 0.250)
O (0.013, 0.250, 0.250)

Top 8 peaks for 10 to 90 degrees two-theta, in order of rising 2θ:
| d/Å | Rel. int. |
| --- | --- |
| 4.823 | 31 |
| 2.953 | 100 |
| 2.519 | 18 |
| 2.088 | 34 |
| 1.705 | 40 |
| 1.477 | 20 |
| 1.321 | 17 |
| 1.116 | 21 |

Entry 5:
Computed powder X-ray diffraction pattern
Compound: Eu2NbGaO7
Radiation: Cu Kα
Structure: a cell relaxed with GGA-PBE
No peak broadening, texture or thermal motion is included.

Cell and atoms:
Cell lengths 7.302, 7.484, 10.467 Å; angles 90.00, 90.00, 90.00 degrees
Space group Imma (No. 74)
Inequivalent atoms, fractional coordinates:
Eu (0.000, 0.000, 0.000)
Eu (0.250, 0.250, 0.250)
Nb (0.000, 0.000, 0.500)
Ga (0.250, 0.250, 0.750)
O (0.000, 0.250, 0.125)
O (0.000, 0.250, 0.424)
O (0.000, 0.250, 0.831)
O (0.202, 0.048, 0.625)

Top 8 peaks for 10 to 90 degrees two-theta, in order of rising 2θ:
| d/Å | Rel. int. |
| --- | --- |
| 3.044 | 100 |
| 2.994 | 96 |
| 2.614 | 63 |
| 1.871 | 16 |
| 1.849 | 61 |
| 1.587 | 29 |
| 1.566 | 27 |
| 1.169 | 19 |

Entry 6:
Computed powder X-ray diffraction pattern
Compound: ScClO
Radiation: Cu Kα
Structure: a cell relaxed with GGA-PBE
No peak broadening, texture or thermal motion is included.

Cell and atoms:
Cell lengths 4.321, 4.321, 5.645 Å; angles 90.00, 90.00, 90.00 degrees
Space group P4/nmm (No. 129, origin choice 2)
Inequivalent atoms, fractional coordinates:
Sc (0.250, 0.250, 0.217)
Cl (0.250, 0.750, 0.500)
O (0.250, 0.250, 0.901)

Top 8 peaks for 10 to 90 degrees two-theta, in order of rising 2θ:
| d/Å | Rel. int. |
| --- | --- |
| 3.431 | 66 |
| 2.687 | 100 |
| 2.160 | 68 |
| 2.073 | 64 |
| 1.828 | 20 |
| 1.725 | 18 |
| 1.528 | 19 |
| 1.230 | 21 |